Record 1
Theoretical powder XRD pattern of CaLaEr4 for CuKα, from a crystal structure in Alexandria, relaxed with PBE.
Intensities are scaled so that the largest is 100.

The 8 most intense peaks (10° ≤ 2θ ≤ 90°), by angle:
- 2θ = 16.26°, intensity 35
- 2θ = 31.43°, intensity 100
- 2θ = 32.87°, intensity 62
- 2θ = 38.14°, intensity 16
- 2θ = 50.22°, intensity 36
- 2θ = 55.03°, intensity 34
- 2θ = 65.61°, intensity 25
- 2θ = 77.71°, intensity 22

Lattice parameters (Å, degrees): 6.674 6.674 6.674 60.00 60.00 60.00
Element x y z (fractional)
1 Ca 0.000 0.000 0.000
2 La 0.750 0.750 0.750
3 Er 0.376 0.376 0.376
4 Er 0.376 0.376 0.873
5 Er 0.376 0.873 0.376
6 Er 0.873 0.376 0.376



Record 2
Theoretical powder XRD pattern of CaLa5Er3 for CuKα, from a crystal structure in Alexandria, relaxed with PBE.
Intensities are scaled so that the largest is 100.

The 8 most intense peaks (10° ≤ 2θ ≤ 90°), by angle:
- 2θ = 30.63°, intensity 100
- 2θ = 30.72°, intensity 21
- 2θ = 43.80°, intensity 7
- 2θ = 43.93°, intensity 15
- 2θ = 54.34°, intensity 10
- 2θ = 54.49°, intensity 14
- 2θ = 54.58°, intensity 8
- 2θ = 60.82°, intensity 17

Lattice parameters (Å, degrees): 10.710 10.710 10.710 141.05 70.76 123.50
Element x y z (fractional)
1 Ca 0.335 0.085 0.250
2 Ca 0.665 0.915 0.750
3 La 0.022 0.437 0.585
4 La 0.033 0.109 0.923
5 La 0.314 0.891 0.423
6 La 0.317 0.567 0.750
7 La 0.352 0.437 0.915
8 La 0.648 0.563 0.085
9 La 0.683 0.433 0.250
10 La 0.686 0.109 0.577
11 La 0.967 0.891 0.077
12 La 0.978 0.563 0.415
13 Er 0.000 0.000 0.500
14 Er 0.000 0.500 0.000
15 Er 0.337 0.000 0.837
16 Er 0.337 0.500 0.337
17 Er 0.663 0.000 0.163
18 Er 0.663 0.500 0.663



Record 3
Theoretical powder XRD pattern of LiCa2ErS4 for CuKα, from a crystal structure in Alexandria, relaxed with PBE.
Intensities are scaled so that the largest is 100.

The 8 most intense peaks (10° ≤ 2θ ≤ 90°), by angle:
- 2θ = 13.77°, intensity 84
- 2θ = 16.05°, intensity 44
- 2θ = 22.43°, intensity 41
- 2θ = 26.39°, intensity 34
- 2θ = 31.93°, intensity 100
- 2θ = 32.43°, intensity 48
- 2θ = 45.78°, intensity 34
- 2θ = 46.20°, intensity 34

Lattice parameters (Å, degrees): 6.786 3.967 6.806 90.00 108.70 90.00
Element x y z (fractional)
1 Li 0.000 0.000 0.000
2 Ca 0.000 0.500 0.500
3 Ca 0.500 0.000 0.500
4 Er 0.500 0.500 0.000
5 S 0.253 0.500 0.242
6 S 0.255 0.000 0.764
7 S 0.745 0.000 0.236
8 S 0.747 0.500 0.758